Diffraction record for NiS2O12. The PXRD pattern is simulated, not measured: it uses a DFT-relaxed cell (GGA+U, Alexandria) and Cu Kα (λ = 1.5418 Å).
Peak positions follow from Bragg's law for the DFT cell and can differ from measured ones.

The 6 most intense peaks (2θ from 5° to 70°), sorted by position:
(0 0 1), 12.21 deg, 7.249 Å, rel. 65
(0 1 0), 14.91 deg, 5.943 Å, rel. 71
(0 1 1), 21.71 deg, 4.094 Å, rel. 100
(1 -1 1), 24.40 deg, 3.649 Å, rel. 63
(-1 1 2), 34.98 deg, 2.565 Å, rel. 23
(1 2 -1), 36.50 deg, 2.462 Å, rel. 27

Cell and atoms:
```
15
Lattice="4.826 0.000 0.000 -0.707 6.164 0.000 -0.495 -1.993 7.249" Properties=species:S:1:pos:R:3 pbc="T T T"
Ni 0.000 0.000 0.000
S 1.470 -0.902 5.837
S 2.154 5.072 1.412
O -0.078 2.978 2.042
O 0.102 3.959 5.536
O 0.684 5.181 1.224
O 0.789 -0.377 7.057
O 0.896 2.711 2.692
O 1.279 -0.006 4.643
O 2.345 4.176 2.606
O 2.728 1.460 4.557
O 2.835 4.548 0.192
O 2.940 -1.010 6.025
O 3.522 0.212 1.713
O 3.702 1.192 5.207
```